# 1
Diffraction record for Dy9Ho3Er2. The X-ray diffraction stick pattern is calculated, not measured: it uses the PBE geometry in Alexandria and copper Kα.
Lines closer than 0.1° are merged.

```
data_Dy9Ho3Er2
_chemical_formula_sum 'Dy9 Ho3 Er2'
_cell_length_a 6.434
_cell_length_b 6.476
_cell_length_c 11.424
_cell_angle_alpha 104.62
_cell_angle_beta 103.83
_cell_angle_gamma 94.92
_symmetry_space_group_name_H-M 'P 1'
_symmetry_Int_Tables_number 1
_symmetry_space_group_name_Hall 'P 1'
loop_
_atom_site_label
_atom_site_fract_x
_atom_site_fract_y
_atom_site_fract_z
Dy1 0.000 0.000 0.000
Dy2 0.005 0.330 0.289
Dy3 0.181 0.116 0.760
Dy4 0.225 0.558 0.102
Dy5 0.235 0.898 0.432
Dy6 0.451 0.780 0.915
Dy7 0.643 0.331 0.986
Dy8 0.659 0.617 0.433
Dy9 0.782 0.160 0.495
Ho1 0.452 0.139 0.215
Ho2 0.650 0.975 0.709
Ho3 0.782 0.782 0.201
Er1 0.343 0.450 0.603
Er2 0.892 0.534 0.777
```

The 6 most intense peaks (2θ = 10–90°), in order of rising 2θ:
Position (°2θ)	intensity
32.2	523
32.5	870
32.6	1000
32.7	265
32.9	512
57.5	163

# 2
Diffraction record for DyMg6Ag6. The X-ray diffraction stick pattern is calculated, not measured: it uses the PBE geometry in Alexandria and copper Kα.
Lines closer than 0.1° are merged.

```
data_DyMg6Ag6
_chemical_formula_sum 'Dy1 Mg6 Ag6'
_cell_length_a 7.412
_cell_length_b 7.412
_cell_length_c 7.412
_cell_angle_alpha 135.34
_cell_angle_beta 100.44
_cell_angle_gamma 96.17
_symmetry_space_group_name_H-M 'P 1'
_symmetry_Int_Tables_number 1
_symmetry_space_group_name_Hall 'P 1'
loop_
_atom_site_label
_atom_site_fract_x
_atom_site_fract_y
_atom_site_fract_z
Dy1 0.000 0.000 0.000
Mg1 0.190 0.690 0.500
Mg2 0.341 0.000 0.341
Mg3 0.346 0.346 0.000
Mg4 0.654 0.654 0.000
Mg5 0.659 0.000 0.659
Mg6 0.810 0.310 0.500
Ag1 0.000 0.000 0.500
Ag2 0.000 0.500 0.000
Ag3 0.224 0.500 0.724
Ag4 0.500 0.000 0.000
Ag5 0.500 0.500 0.500
Ag6 0.776 0.500 0.276
```

The 6 most intense peaks (2θ = 10–90°), in order of rising 2θ:
Position (°2θ)	intensity
18.7	709
26.2	650
36.3	544
36.7	1000
36.8	579
41.5	683

# 3
Diffraction record for AcNi. The X-ray diffraction stick pattern is calculated, not measured: it uses the PBE geometry in Alexandria and copper Kα.
Lines closer than 0.1° are merged.

```
data_AcNi
_chemical_formula_sum 'Ac1 Ni1'
_cell_length_a 4.252
_cell_length_b 4.252
_cell_length_c 4.252
_cell_angle_alpha 60.00
_cell_angle_beta 60.00
_cell_angle_gamma 60.00
_symmetry_space_group_name_H-M 'P 1'
_symmetry_Int_Tables_number 1
_symmetry_space_group_name_Hall 'P 1'
loop_
_atom_site_label
_atom_site_fract_x
_atom_site_fract_y
_atom_site_fract_z
Ac1 0.000 0.000 0.000
Ni1 0.500 0.500 0.500
```

The 6 most intense peaks (2θ = 10–90°), in order of rising 2θ:
Position (°2θ)	intensity
25.7	552
29.7	1000
42.5	763
50.3	290
52.7	272
70.0	349

# 4
Diffraction record for Ac3NpB4O12. The X-ray diffraction stick pattern is calculated, not measured: it uses the PBE geometry in Alexandria and copper Kα.
Lines closer than 0.1° are merged.

```
data_Ac3NpB4O12
_chemical_formula_sum 'Ac3 Np1 B4 O12'
_cell_length_a 6.862
_cell_length_b 6.862
_cell_length_c 6.862
_cell_angle_alpha 100.78
_cell_angle_beta 100.78
_cell_angle_gamma 100.78
_symmetry_space_group_name_H-M 'P 1'
_symmetry_Int_Tables_number 1
_symmetry_space_group_name_Hall 'P 1'
loop_
_atom_site_label
_atom_site_fract_x
_atom_site_fract_y
_atom_site_fract_z
Ac1 0.000 0.514 0.486
Ac2 0.486 0.000 0.514
Ac3 0.514 0.486 0.000
Np1 0.000 0.000 0.000
B1 0.014 0.500 0.986
B2 0.500 0.500 0.500
B3 0.500 0.986 0.014
B4 0.986 0.014 0.500
O1 0.020 0.643 0.864
O2 0.116 0.884 0.500
O3 0.136 0.357 0.980
O4 0.357 0.980 0.136
O5 0.370 0.630 0.500
O6 0.500 0.116 0.884
O7 0.500 0.370 0.630
O8 0.630 0.500 0.370
O9 0.643 0.864 0.020
O10 0.864 0.020 0.643
O11 0.884 0.500 0.116
O12 0.980 0.136 0.357
```

The 6 most intense peaks (2θ = 10–90°), in order of rising 2θ:
Position (°2θ)	intensity
21.6	1000
27.2	902
33.9	369
40.6	265
43.3	258
44.9	416